# 1
This entry pairs a crystal structure of Pr14YPb with its theoretical X-ray powder pattern. Radiation: a wavelength of 1.5418 Å. Structure: a crystal structure in Alexandria, relaxed with GGA-PBE.

Cell and atoms:
Lattice parameters (Å, degrees): 7.3323 7.3323 10.4102 90.00 90.00 90.00
Positions (direct):
Pr: 0.0000 0.0000 0.0000
Pr: 0.0000 0.5000 0.0000
Pr: 0.0000 0.5000 0.5000
Pr: 0.2478 0.2478 0.2551
Pr: 0.2478 0.2478 0.7449
Pr: 0.2478 0.7522 0.2551
Pr: 0.2478 0.7522 0.7449
Pr: 0.5000 0.0000 0.0000
Pr: 0.5000 0.0000 0.5000
Pr: 0.5000 0.5000 0.0000
Pr: 0.7522 0.2478 0.2551
Pr: 0.7522 0.2478 0.7449
Pr: 0.7522 0.7522 0.2551
Pr: 0.7522 0.7522 0.7449
Y: 0.5000 0.5000 0.5000
Pb: 0.0000 0.0000 0.5000

Peak list (8 most intense, 2θ from 10° to 80°, in order of falling intensity)
| 2θ/deg | I (rel.) |
| --- | --- |
| 29.8 | 100.0 |
| 34.6 | 33.7 |
| 59.1 | 28.7 |
| 49.6 | 24.1 |
| 34.5 | 16.9 |
| 58.9 | 14.3 |
| 61.9 | 12.4 |
| 49.7 | 12.1 |



# 2
This entry pairs a crystal structure of Pr5Bi2As2 with its theoretical X-ray powder pattern. Radiation: a wavelength of 1.5418 Å. Structure: a crystal structure in Alexandria, relaxed with GGA-PBE.

Cell and atoms:
Lattice parameters (Å, degrees): 8.9900 8.9900 8.3427 90.00 90.00 54.92
Positions (direct):
Pr: 0.0000 0.0000 0.0000
Pr: 0.0340 0.7146 0.6592
Pr: 0.2146 0.5340 0.1592
Pr: 0.2854 0.9660 0.6592
Pr: 0.4660 0.7854 0.1592
Pr: 0.5000 0.5000 0.5000
Pr: 0.5340 0.2146 0.8408
Pr: 0.7146 0.0340 0.3408
Pr: 0.7854 0.4660 0.8408
Pr: 0.9660 0.2854 0.3408
Bi: 0.2043 0.2043 0.0000
Bi: 0.2957 0.2957 0.5000
Bi: 0.7043 0.7043 0.5000
Bi: 0.7957 0.7957 0.0000
As: 0.1459 0.8541 0.3554
As: 0.3541 0.6459 0.8554
As: 0.6459 0.3541 0.1446
As: 0.8541 0.1459 0.6446

Peak list (8 most intense, 2θ from 10° to 80°, in order of falling intensity)
| 2θ/deg | I (rel.) |
| --- | --- |
| 31.9 | 100.0 |
| 31.1 | 75.8 |
| 33.0 | 75.7 |
| 34.5 | 68.8 |
| 34.7 | 68.7 |
| 30.4 | 68.0 |
| 29.3 | 63.5 |
| 55.0 | 38.6 |